No. 1
Diffraction record for CaTb2Mg6. The powder diffraction line list is simulated, not measured: it uses a crystal structure in Alexandria, relaxed with PBE and λ = 1.5418 Å (Cu Kα).
Peak positions follow from Bragg's law for the DFT cell and can differ from measured ones.

The 10 most intense peaks (10 to 80 degrees two-theta), most intense first:
d = 2.700 Å, 33.2 deg, I 100, hkl 1 1 1; d = 4.568 Å, 19.4 deg, I 78, hkl 1 1 0; d = 2.638 Å, 34.0 deg, I 65, hkl 3 0 0; d = 7.913 Å, 11.2 deg, I 43, hkl 1 0 0; d = 1.535 Å, 60.3 deg, I 35, hkl 4 1 1; d = 1.887 Å, 48.2 deg, I 35, hkl 2 2 1; d = 1.413 Å, 66.1 deg, I 18, hkl 3 0 2; d = 2.284 Å, 39.4 deg, I 13, hkl 2 2 0; d = 1.523 Å, 60.8 deg, I 12, hkl 3 3 0; d = 1.727 Å, 53.0 deg, I 11, hkl 4 1 0

Structural model:
```
data_CaTb2Mg6
_chemical_formula_sum 'Ca1 Tb2 Mg6'
_symmetry_space_group_name_H-M 'P 6/m m m'
_symmetry_Int_Tables_number 191
_symmetry_space_group_name_Hall '-P 6 2'
_cell_length_a 9.1369
_cell_length_b 9.1369
_cell_length_c 3.3473
_cell_angle_alpha 90.00
_cell_angle_beta 90.00
_cell_angle_gamma 120.00
loop_
_atom_site_label
_atom_site_type_symbol
_atom_site_fract_x
_atom_site_fract_y
_atom_site_fract_z
Ca1 Ca 0.0000 0.0000 0.0000
Tb1 Tb 0.3333 0.6667 0.0000
Mg1 Mg 0.0000 0.3359 0.5000
```

=====

No. 2
Diffraction record for CaMg7Tl12. The powder diffraction line list is simulated, not measured: it uses a crystal structure in Alexandria, relaxed with PBE and λ = 1.5418 Å (Cu Kα).
Peak positions follow from Bragg's law for the DFT cell and can differ from measured ones.

The 10 most intense peaks (10 to 80 degrees two-theta), most intense first:
d = 2.917 Å, 30.7 deg, I 100, hkl 3 2 1; d = 3.451 Å, 25.8 deg, I 88, hkl 3 1 0; d = 2.440 Å, 36.8 deg, I 81, hkl 4 0 2; d = 1.872 Å, 48.6 deg, I 69, hkl 5 3 0; d = 4.455 Å, 19.9 deg, I 42, hkl 2 1 1; d = 1.386 Å, 67.6 deg, I 32, hkl 7 2 3; d = 7.717 Å, 11.5 deg, I 28, hkl 1 1 0; d = 3.150 Å, 28.3 deg, I 28, hkl 2 2 2; d = 1.770 Å, 51.6 deg, I 27, hkl 5 3 2; d = 1.458 Å, 63.8 deg, I 26, hkl 6 4 2

Structural model:
```
data_CaMg7Tl12
_chemical_formula_sum 'Ca2 Mg14 Tl24'
_symmetry_space_group_name_H-M 'I m -3'
_symmetry_Int_Tables_number 204
_symmetry_space_group_name_Hall '-I 2 2 3'
_cell_length_a 10.914
_cell_length_b 10.914
_cell_length_c 10.914
_cell_angle_alpha 90.00
_cell_angle_beta 90.00
_cell_angle_gamma 90.00
loop_
_atom_site_label
_atom_site_type_symbol
_atom_site_fract_x
_atom_site_fract_y
_atom_site_fract_z
Ca1 Ca 0.000 0.000 0.000
Mg1 Mg 0.000 0.000 0.500
Mg2 Mg 0.250 0.250 0.250
Tl1 Tl 0.000 0.157 0.275
```

=====

No. 3
Diffraction record for Ca2Mg5Tl3. The powder diffraction line list is simulated, not measured: it uses a crystal structure in Alexandria, relaxed with PBE and λ = 1.5418 Å (Cu Kα).
Peak positions follow from Bragg's law for the DFT cell and can differ from measured ones.

The 10 most intense peaks (10 to 80 degrees two-theta), most intense first:
d = 2.320 Å, 38.8 deg, I 100, hkl 0 4 2; d = 4.250 Å, 20.9 deg, I 88, hkl 1 3 0; d = 2.251 Å, 40.1 deg, I 81, hkl 4 0 2; d = 4.270 Å, 20.8 deg, I 78, hkl 2 1 1; d = 4.360 Å, 20.4 deg, I 62, hkl 1 2 1; d = 4.037 Å, 22.0 deg, I 56, hkl 3 1 0; d = 3.018 Å, 29.6 deg, I 49, hkl 1 1 2; d = 2.887 Å, 31.0 deg, I 46, hkl 0 2 2; d = 3.187 Å, 28.0 deg, I 45, hkl 2 3 1; d = 2.872 Å, 31.1 deg, I 45, hkl 4 2 0

Structural model:
```
data_Ca2Mg5Tl3
_chemical_formula_sum 'Ca8 Mg20 Tl12'
_symmetry_space_group_name_H-M 'I b a m'
_symmetry_Int_Tables_number 72
_symmetry_space_group_name_Hall '-I 2 2c'
_cell_length_a 12.688
_cell_length_b 13.530
_cell_length_c 6.384
_cell_angle_alpha 90.00
_cell_angle_beta 90.00
_cell_angle_gamma 90.00
loop_
_atom_site_label
_atom_site_type_symbol
_atom_site_fract_x
_atom_site_fract_y
_atom_site_fract_z
Ca1 Ca 0.129 0.235 0.000
Mg1 Mg 0.000 0.000 0.250
Mg2 Mg 0.117 0.352 0.500
Mg3 Mg 0.248 0.500 0.250
Tl1 Tl 0.000 0.500 0.250
Tl2 Tl 0.129 0.145 0.500
```